Starting from a DFT-relaxed cell (PBE, Alexandria), the powder diffractogram of Sr3Zn4Pt4 was computed for a wavelength of 1.5418 Å.

Structure:
```
Sr3Zn4Pt4
1.0
4.265 0.000 0.000
-0.004 4.350 0.000
-2.132 -2.129 13.278
Sr Zn Pt
3 4 4
Cartesian
0.000 0.000 0.000 Sr
-0.003 2.190 3.909 Sr
2.132 0.032 9.369 Sr
0.002 0.027 6.652 Zn
0.000 2.212 10.642 Zn
2.129 0.010 2.636 Zn
2.128 2.195 6.626 Zn
-0.007 2.202 8.093 Pt
0.006 0.037 11.933 Pt
2.123 2.184 1.345 Pt
2.136 0.019 5.185 Pt
```

Most intense lines, 2θ from 15° to 90°, by intensity:
2θ/deg  I (rel.)
30.1  100
31.6  94
32.3  79
21.1  67
41.5  60
42.4  57
60.8  39
22.8  37
45.3  33
45.4  32
49.5  30
42.8  28


Starting from a DFT-relaxed cell (PBE, Alexandria), the powder diffractogram of Sr3Zn4Pt4 was computed for a wavelength of 1.5418 Å.

Structure:
```
Sr3Zn4Pt4
1.0
-3.944 3.944 3.944
3.944 -3.944 3.944
3.944 3.944 -3.944
Sr Zn Pt
3 4 4
Cartesian
3.944 0.000 0.000 Sr
0.000 3.944 0.000 Sr
0.000 0.000 3.944 Sr
0.981 0.981 -0.981 Zn
0.981 -0.981 0.981 Zn
-0.981 0.981 0.981 Zn
2.963 2.963 2.963 Zn
2.421 2.421 -2.421 Pt
2.421 -2.421 2.421 Pt
1.523 1.523 1.523 Pt
-2.421 2.421 2.421 Pt
```

Most intense lines, 2θ from 15° to 90°, by intensity:
2θ/deg  I (rel.)
32.1  100
49.0  88
27.7  67
36.0  65
42.9  53
74.1  34
54.6  26
15.9  25
22.5  23
69.5  19
71.8  17
57.2  17


Starting from a DFT-relaxed cell (PBE, Alexandria), the powder diffractogram of Sr3ZnPt2 was computed for a wavelength of 1.5418 Å.

Structure:
```
Sr3ZnPt2
1.0
12.257 0.000 0.000
0.000 4.421 0.000
0.000 0.000 12.572
Sr Zn Pt
12 4 8
Cartesian
0.717 1.105 1.503 Sr
1.520 3.316 7.024 Sr
2.403 1.105 10.167 Sr
3.725 3.316 3.881 Sr
4.609 1.105 0.738 Sr
5.412 3.316 7.789 Sr
6.845 1.105 4.783 Sr
7.649 3.316 11.834 Sr
8.532 1.105 8.691 Sr
9.854 3.316 2.405 Sr
10.738 1.105 5.548 Sr
11.541 3.316 11.069 Sr
1.565 1.105 4.642 Zn
4.563 3.316 10.928 Zn
7.694 1.105 1.644 Zn
10.692 3.316 7.930 Zn
0.410 3.316 4.018 Pt
2.364 3.316 12.354 Pt
3.765 1.105 6.068 Pt
5.719 1.105 10.303 Pt
6.538 3.316 2.268 Pt
8.493 3.316 6.504 Pt
9.893 1.105 0.218 Pt
11.848 1.105 8.554 Pt
```

Most intense lines, 2θ from 15° to 90°, by intensity:
2θ/deg  I (rel.)
29.4  100
38.5  87
40.8  80
33.1  79
30.3  77
20.2  71
22.5  66
30.0  58
30.6  57
28.7  52
42.2  51
61.1  44


Starting from a DFT-relaxed cell (PBE, Alexandria), the powder diffractogram of SrZnPt was computed for a wavelength of 1.5418 Å.

Structure:
```
SrZnPt
1.0
5.571 -2.157 0.000
5.571 2.157 0.000
-4.489 0.000 5.904
Sr Zn Pt
2 2 2
Cartesian
-0.663 0.000 1.827 Sr
7.316 0.000 4.077 Sr
-0.764 0.000 5.358 Zn
7.418 0.000 0.546 Zn
2.539 0.000 1.806 Pt
4.114 0.000 4.098 Pt
```

Most intense lines, 2θ from 15° to 90°, by intensity:
2θ/deg  I (rel.)
16.2  100
36.9  94
23.9  69
34.0  61
41.9  57
38.6  54
32.9  51
30.7  47
33.5  44
30.3  37
43.1  36
32.0  36


Starting from a DFT-relaxed cell (PBE, Alexandria), the powder diffractogram of Sr2ZrPt2 was computed for a wavelength of 1.5418 Å.

Structure:
```
Sr2ZrPt2
1.0
7.221 0.000 0.000
0.000 7.221 0.000
0.000 0.000 4.944
Sr Zr Pt
4 2 4
Cartesian
1.239 2.372 0.000 Sr
2.372 5.982 0.000 Sr
4.850 1.239 0.000 Sr
5.982 4.850 0.000 Sr
0.000 0.000 2.472 Zr
3.611 3.611 2.472 Zr
0.989 4.600 2.472 Pt
2.622 0.989 2.472 Pt
4.600 6.233 2.472 Pt
6.233 2.622 2.472 Pt
```

Most intense lines, 2θ from 15° to 90°, by intensity:
2θ/deg  I (rel.)
33.1  100
17.9  29
39.5  27
36.3  24
54.7  21
63.4  16
43.7  13
73.1  13
27.6  11
17.4  8
77.2  7
49.1  7


Starting from a DFT-relaxed cell (PBE, Alexandria), the powder diffractogram of Ta3Pt2 was computed for a wavelength of 1.5418 Å.

Structure:
```
Ta3Pt2
1.0
9.966 0.000 0.000
0.000 9.966 0.000
0.000 0.000 5.172
Ta Pt
18 12
Cartesian
0.000 0.000 0.000 Ta
0.385 3.631 2.586 Ta
1.352 5.368 0.000 Ta
1.844 8.122 1.296 Ta
1.844 8.122 3.875 Ta
3.139 3.139 1.289 Ta
3.139 3.139 3.882 Ta
3.631 0.385 2.586 Ta
4.597 8.614 0.000 Ta
4.983 4.983 2.586 Ta
5.368 1.352 0.000 Ta
6.335 9.580 2.586 Ta
6.827 6.827 1.289 Ta
6.827 6.827 3.882 Ta
8.122 1.844 1.296 Ta
8.122 1.844 3.875 Ta
8.614 4.597 0.000 Ta
9.580 6.335 2.586 Ta
0.679 2.633 0.000 Pt
0.995 0.995 2.586 Pt
2.350 5.662 2.586 Pt
2.633 0.679 0.000 Pt
3.988 5.978 0.000 Pt
4.304 7.616 2.586 Pt
5.662 2.350 2.586 Pt
5.978 3.988 0.000 Pt
7.333 9.287 0.000 Pt
7.616 4.304 2.586 Pt
8.971 8.971 2.586 Pt
9.287 7.333 0.000 Pt
```

Most intense lines, 2θ from 15° to 90°, by intensity:
2θ/deg  I (rel.)
41.2  100
37.2  95
40.3  69
42.3  54
38.3  37
39.3  33
66.6  25
34.7  23
85.1  18
65.5  18
68.5  17
45.4  15


Starting from a DFT-relaxed cell (PBE, Alexandria), the powder diffractogram of Ta3Pt was computed for a wavelength of 1.5418 Å.

Structure:
```
Ta3Pt
1.0
1.809 -2.197 0.000
1.809 2.197 0.000
0.000 0.000 8.800
Ta Pt
3 1
Cartesian
0.000 0.000 0.000 Ta
1.809 0.000 2.305 Ta
1.809 0.000 6.495 Ta
0.000 0.000 4.400 Pt
```

Most intense lines, 2θ from 15° to 90°, by intensity:
2θ/deg  I (rel.)
38.2  100
41.1  40
72.9  29
67.0  19
59.5  13
50.5  11
81.7  11
86.6  10
89.1  2
89.0  2
44.8  1
84.5  1


Starting from a DFT-relaxed cell (PBE, Alexandria), the powder diffractogram of TaPt2 was computed for a wavelength of 1.5418 Å.

Structure:
```
TaPt2
1.0
-2.011 2.011 12.033
2.011 -2.011 12.033
2.011 2.011 -12.033
Ta Pt
4 8
Cartesian
2.011 1.005 1.043 Ta
2.011 1.005 4.974 Ta
0.000 1.005 7.059 Ta
0.000 1.005 10.990 Ta
2.011 -1.005 6.962 Pt
2.011 1.005 -3.030 Pt
2.011 -1.005 11.088 Pt
0.000 1.005 2.986 Pt
2.011 1.005 9.047 Pt
0.000 3.016 0.946 Pt
0.000 1.005 15.063 Pt
0.000 3.016 5.071 Pt
```

Most intense lines, 2θ from 15° to 90°, by intensity:
2θ/deg  I (rel.)
38.8  100
45.1  33
65.7  32
79.0  26
45.2  16
79.2  13
83.3  11


Starting from a DFT-relaxed cell (PBE, Alexandria), the powder diffractogram of TaTe5Pt was computed for a wavelength of 1.5418 Å.

Structure:
```
TaTe5Pt
1.0
1.880 -7.098 0.000
1.880 7.098 0.000
0.000 0.000 15.720
Ta Te Pt
2 10 2
Cartesian
1.880 7.023 11.790 Ta
1.880 -7.023 3.930 Ta
1.880 5.657 9.188 Te
1.880 5.657 14.392 Te
1.880 2.241 3.930 Te
1.880 1.408 10.179 Te
1.880 1.408 13.401 Te
1.880 -1.408 2.319 Te
1.880 -1.408 5.541 Te
1.880 -2.241 11.790 Te
1.880 -5.657 1.328 Te
1.880 -5.657 6.532 Te
1.880 0.000 0.000 Pt
1.880 0.000 7.860 Pt
```

Most intense lines, 2θ from 15° to 90°, by intensity:
2θ/deg  I (rel.)
32.5  100
42.5  67
41.5  47
34.0  45
31.1  41
44.7  39
29.9  36
30.9  35
35.0  28
48.4  26
68.0  22
73.3  20


Starting from a DFT-relaxed cell (PBE, Alexandria), the powder diffractogram of Ta2VPt8 was computed for a wavelength of 1.5418 Å.

Structure:
```
Ta2VPt8
1.0
7.133 -1.999 0.000
7.133 1.999 0.000
-1.941 0.000 6.105
Ta V Pt
2 1 8
Cartesian
2.821 0.000 0.948 Ta
9.505 0.000 5.157 Ta
6.163 0.000 3.052 V
0.135 0.000 1.440 Pt
0.669 0.000 4.211 Pt
3.450 0.000 3.609 Pt
5.596 0.000 0.359 Pt
6.729 0.000 5.746 Pt
8.876 0.000 2.496 Pt
11.657 0.000 1.894 Pt
12.191 0.000 4.664 Pt
```

Most intense lines, 2θ from 15° to 90°, by intensity:
2θ/deg  I (rel.)
39.3  100
39.1  96
45.4  34
44.4  32
46.8  30
67.2  20
65.4  20
79.7  13
79.5  13
81.9  12
78.4  11
84.4  11


Starting from a DFT-relaxed cell (PBE, Alexandria), the powder diffractogram of TaZn2Pt3 was computed for a wavelength of 1.5418 Å.

Structure:
```
TaZn2Pt3
1.0
2.881 0.000 0.000
0.000 2.881 0.000
0.000 0.000 11.032
Ta Zn Pt
1 2 3
Cartesian
0.000 0.000 0.000 Ta
0.000 0.000 3.770 Zn
0.000 0.000 7.262 Zn
1.441 1.441 1.940 Pt
1.441 1.441 5.516 Pt
1.441 1.441 9.092 Pt
```

Most intense lines, 2θ from 15° to 90°, by intensity:
2θ/deg  I (rel.)
39.7  100
44.5  37
78.7  27
68.8  19
49.6  13
64.7  12
85.7  11
86.2  10
31.0  8
24.2  7
35.1  4
51.3  4


Starting from a DFT-relaxed cell (PBE, Alexandria), the powder diffractogram of Tb3Pt4 was computed for a wavelength of 1.5418 Å.

Structure:
```
Tb3Pt4
1.0
6.648 3.838 1.916
-6.648 3.838 1.916
0.000 -7.677 1.916
Tb Pt
6 8
Cartesian
-2.513 -0.483 1.363 Tb
1.675 -1.935 1.363 Tb
0.838 2.418 1.363 Tb
-0.838 -2.418 4.385 Tb
-1.675 1.935 4.385 Tb
2.513 0.483 4.385 Tb
0.000 0.000 0.000 Pt
-1.099 -3.134 1.609 Pt
-2.165 2.518 1.609 Pt
-3.263 -0.616 4.138 Pt
0.000 0.000 2.874 Pt
3.263 0.616 1.609 Pt
2.165 -2.518 4.138 Pt
1.099 3.134 4.138 Pt
```

Most intense lines, 2θ from 15° to 90°, by intensity:
2θ/deg  I (rel.)
35.7  100
37.5  95
32.1  31
65.4  23
42.3  21
34.9  19
52.8  17
46.7  15
72.0  13
50.8  11
44.5  8
64.2  8


Starting from a DFT-relaxed cell (PBE, Alexandria), the powder diffractogram of Tb4Pt was computed for a wavelength of 1.5418 Å.

Structure:
```
Tb4Pt
1.0
-4.411 4.411 3.860
4.411 -4.411 3.860
4.411 4.411 -3.860
Tb Pt
8 2
Cartesian
4.048 -2.649 2.645 Tb
4.775 1.762 -0.715 Tb
7.060 -0.364 1.215 Tb
1.762 0.364 1.215 Tb
1.762 4.048 0.715 Tb
2.649 0.364 4.575 Tb
4.775 2.649 2.645 Tb
-0.364 2.649 3.145 Tb
4.411 0.000 1.930 Pt
0.000 0.000 3.860 Pt
```

Most intense lines, 2θ from 15° to 90°, by intensity:
2θ/deg  I (rel.)
30.8  100
32.6  68
38.6  52
36.4  41
39.9  39
53.3  27
20.1  27
32.1  25
15.3  23
56.0  21
40.9  20
27.2  20